1.
Structure and calculated powder XRD pattern of TiV2Mo8 (a cell relaxed with GGA-PBE; Cu Kα (λ = 1.5418 Å)).
Kinematic intensities with the Lorentz-polarization factor, no thermal factor.

Principal peaks in the range 2θ = 5–70°, by angle:
two_theta	d [Å]	Rel. int.
38.2	2.359	17
38.6	2.333	28
38.7	2.326	62
39.1	2.305	100
40.2	2.244	58
43.2	2.096	14
43.3	2.088	36
55.4	1.658	9
56.6	1.626	10
56.9	1.617	18

Structural model:
```
TiV2Mo8
1.0
5.467 0.000 0.000
0.000 4.487 0.000
-1.406 0.000 7.076
Ti V Mo
1 2 8
Cartesian
0.000 0.000 0.000
1.776 2.244 4.635
2.285 2.244 2.441
-0.818 2.244 4.815
0.680 0.000 2.846
1.433 2.244 0.217
0.948 0.000 5.694
3.113 0.000 1.382
2.627 2.244 6.860
3.380 0.000 4.230
4.879 2.244 2.262
```



2.
Structure and calculated powder XRD pattern of Nd4GeSbTe2 (a cell relaxed with GGA-PBE; Cu Kα (λ = 1.5418 Å)).
Kinematic intensities with the Lorentz-polarization factor, no thermal factor.

Principal peaks in the range 2θ = 5–70°, by angle:
two_theta	d [Å]	Rel. int.
28.2	3.163	100
40.1	2.247	12
40.3	2.240	25
40.4	2.232	25
40.5	2.226	13
49.9	1.827	7
50.1	1.820	14
58.4	1.581	12
65.9	1.416	10
66.2	1.412	11

Structural model:
```
Nd4GeSbTe2
1.0
7.739 0.000 0.000
0.000 4.453 0.000
-2.559 0.000 7.344
Nd Ge Sb Te
4 1 1 2
Cartesian
1.218 0.000 1.677
-0.074 2.226 5.629
5.253 2.226 1.715
3.962 0.000 5.667
0.000 2.226 0.000
3.869 0.000 0.000
-1.280 0.000 3.672
2.590 2.226 3.672
```



3.
Structure and calculated powder XRD pattern of Ac4PmDy2 (a cell relaxed with GGA-PBE; Cu Kα (λ = 1.5418 Å)).
Kinematic intensities with the Lorentz-polarization factor, no thermal factor.

Principal peaks in the range 2θ = 5–70°, by angle:
two_theta	d [Å]	Rel. int.
28.1	3.176	14
28.6	3.119	100
29.0	3.082	31
29.8	2.998	63
30.4	2.940	29
30.6	2.919	20
35.0	2.565	23
35.1	2.559	14
52.1	1.755	20
57.4	1.606	15

Structural model:
```
Ac4PmDy2
1.0
3.400 -6.352 0.000
3.400 6.352 0.000
-3.357 0.000 12.780
Ac Pm Dy
8 2 4
Cartesian
2.076 5.259 2.817
1.722 5.306 6.390
0.507 1.815 7.280
3.305 1.793 1.890
2.186 -1.815 0.890
1.626 -1.793 8.280
0.397 -5.259 9.207
3.400 -5.306 0.000
0.226 0.769 10.971
1.904 -0.769 4.582
1.777 4.046 10.110
3.734 2.327 5.455
2.055 -2.327 11.845
3.455 -4.046 3.720
```